Diffraction record for CsNbCu2Te4. The powder diffraction line list is theoretical, not measured: it uses a GGA-PBE-relaxed structure and CuKα.
Intensities are scaled so that the largest is 100.

Peak list (12 most intense, 2θ = 5–70°, most intense first)
26.0 deg, 3.425 Å, rel. 100
26.4 deg, 3.375 Å, rel. 46
40.8 deg, 2.212 Å, rel. 32
42.9 deg, 2.107 Å, rel. 22
45.4 deg, 1.997 Å, rel. 21
50.3 deg, 1.815 Å, rel. 17
43.6 deg, 2.078 Å, rel. 16
43.9 deg, 2.063 Å, rel. 14
8.5 deg, 10.389 Å, rel. 13
13.7 deg, 6.480 Å, rel. 12
29.5 deg, 3.028 Å, rel. 11
32.7 deg, 2.743 Å, rel. 10

Structure:
Cell: 8.291 20.777 6.055 Å, 90.00 90.00 90.00°
Space group Pna2_1 (No. 33)
Unique sites:
Cs (0.202, 0.062, 0.000)
Nb (0.203, 0.354, 0.755)
Cu (0.039, 0.753, 0.246)
Cu (0.205, 0.354, 0.255)
Te (0.035, 0.858, 0.003)
Te (0.055, 0.650, 0.001)
Te (0.189, 0.457, 0.007)
Te (0.211, 0.250, 0.013)

=====

Diffraction record for CsNd2Cu3Se4S. The powder diffraction line list is theoretical, not measured: it uses a GGA-PBE-relaxed structure and CuKα.
Intensities are scaled so that the largest is 100.

Peak list (12 most intense, 2θ = 5–70°, most intense first)
28.5 deg, 3.134 Å, rel. 100
34.7 deg, 2.586 Å, rel. 91
30.2 deg, 2.956 Å, rel. 90
29.8 deg, 2.996 Å, rel. 87
28.0 deg, 3.183 Å, rel. 80
43.4 deg, 2.083 Å, rel. 76
45.8 deg, 1.982 Å, rel. 76
38.7 deg, 2.329 Å, rel. 54
10.0 deg, 8.869 Å, rel. 51
26.9 deg, 3.319 Å, rel. 46
37.3 deg, 2.413 Å, rel. 44
39.6 deg, 2.277 Å, rel. 40

Structure:
Cell: 4.166 14.805 17.737 Å, 90.00 90.00 90.00°
Space group Cmcm (No. 63)
Unique sites:
Cs (0.000, 0.065, 0.250)
Nd (0.000, 0.193, 0.594)
Cu (0.000, 0.332, 0.250)
Cu (0.000, 0.415, 0.527)
Se (0.000, 0.163, 0.070)
Se (0.000, 0.444, 0.112)
S (0.000, 0.229, 0.750)

=====

Diffraction record for CsNd2Cu3Te4S. The powder diffraction line list is theoretical, not measured: it uses a GGA-PBE-relaxed structure and CuKα.
Intensities are scaled so that the largest is 100.

Peak list (12 most intense, 2θ = 5–70°, most intense first)
27.1 deg, 3.290 Å, rel. 100
26.7 deg, 3.343 Å, rel. 84
33.1 deg, 2.703 Å, rel. 67
41.4 deg, 2.180 Å, rel. 61
28.4 deg, 3.142 Å, rel. 50
43.8 deg, 2.065 Å, rel. 47
29.2 deg, 3.062 Å, rel. 42
26.8 deg, 3.325 Å, rel. 42
9.6 deg, 9.187 Å, rel. 36
36.7 deg, 2.448 Å, rel. 31
37.5 deg, 2.397 Å, rel. 30
36.3 deg, 2.474 Å, rel. 29

Structure:
Cell: 4.360 15.627 18.375 Å, 90.00 90.00 90.00°
Space group Cmcm (No. 63)
Unique sites:
Cs (0.000, 0.073, 0.250)
Nd (0.000, 0.196, 0.600)
Cu (0.000, 0.331, 0.250)
Cu (0.000, 0.417, 0.520)
Te (0.000, 0.158, 0.069)
Te (0.000, 0.447, 0.122)
S (0.000, 0.231, 0.750)